For HfBe9Ru2, a structure optimized by DFT (PBE) gives the calculated powder XRD pattern in this record (copper Kα).
Neutral-atom scattering factors, no anomalous dispersion.

Most intense lines, 15° ≤ 2θ ≤ 90°, sorted by position:
2θ = 23.3°, I 523
2θ = 24.1°, I 1000
2θ = 25.6°, I 339
2θ = 34.9°, I 248
2θ = 40.1°, I 838
2θ = 40.9°, I 584
2θ = 48.1°, I 216
2θ = 48.9°, I 486
2θ = 58.6°, I 235
2θ = 73.9°, I 271

Crystal structure
a = 4.4133 Å, b = 4.4133 Å, c = 13.9059 Å
α = 90.00°, β = 90.00°, γ = 120.00°
Fractional positions:
Hf 0.3333 0.6667 0.2500
Hf 0.6667 0.3333 0.7500
Be 0.0000 0.0000 0.0000
Be 0.0000 0.0000 0.2500
Be 0.0000 0.0000 0.5000
Be 0.0000 0.0000 0.7500
Be 0.1703 0.3405 0.6198
Be 0.1703 0.3405 0.8802
Be 0.1703 0.8297 0.6198
Be 0.1703 0.8297 0.8802
Be 0.3333 0.6667 0.7500
Be 0.3405 0.1703 0.1198
Be 0.3405 0.1703 0.3802
Be 0.6595 0.8297 0.6198
Be 0.6595 0.8297 0.8802
Be 0.6667 0.3333 0.2500
Be 0.8297 0.1703 0.1198
Be 0.8297 0.1703 0.3802
Be 0.8297 0.6595 0.1198
Be 0.8297 0.6595 0.3802
Ru 0.3333 0.6667 0.0380
Ru 0.3333 0.6667 0.4620
Ru 0.6667 0.3333 0.5380
Ru 0.6667 0.3333 0.9620

---

For SrSnAu, a structure optimized by DFT (PBE) gives the calculated powder XRD pattern in this record (copper Kα).
Neutral-atom scattering factors, no anomalous dispersion.

Most intense lines, 15° ≤ 2θ ≤ 90°, sorted by position:
2θ = 22.5°, I 346
2θ = 30.3°, I 343
2θ = 31.0°, I 1000
2θ = 31.1°, I 419
2θ = 35.7°, I 369
2θ = 36.8°, I 544
2θ = 37.1°, I 930
2θ = 43.8°, I 338
2θ = 52.2°, I 254
2θ = 59.5°, I 344

Crystal structure
a = 4.8864 Å, b = 15.8176 Å, c = 8.3792 Å
α = 90.00°, β = 90.00°, γ = 90.00°
Fractional positions:
Sr 0.2500 0.0032 0.2107
Sr 0.2500 0.2500 0.2959
Sr 0.2500 0.4968 0.2107
Sr 0.2500 0.7500 0.2951
Sr 0.7500 0.2500 0.7049
Sr 0.7500 0.5032 0.7893
Sr 0.7500 0.7500 0.7041
Sr 0.7500 0.9968 0.7893
Sn 0.2500 0.0972 0.5864
Sn 0.2500 0.4028 0.5864
Sn 0.2500 0.6535 0.9154
Sn 0.2500 0.8465 0.9154
Sn 0.7500 0.1535 0.0846
Sn 0.7500 0.3465 0.0846
Sn 0.7500 0.5972 0.4136
Sn 0.7500 0.9028 0.4136
Au 0.2500 0.1398 0.9144
Au 0.2500 0.3602 0.9144
Au 0.2500 0.6001 0.5847
Au 0.2500 0.8999 0.5847
Au 0.7500 0.1001 0.4153
Au 0.7500 0.3999 0.4153
Au 0.7500 0.6398 0.0856
Au 0.7500 0.8602 0.0856

---

For Cu2MoCl, a structure optimized by DFT (PBE) gives the calculated powder XRD pattern in this record (copper Kα).
Neutral-atom scattering factors, no anomalous dispersion.

Most intense lines, 15° ≤ 2θ ≤ 90°, sorted by position:
2θ = 33.9°, I 84
2θ = 40.0°, I 1000
2θ = 45.4°, I 341
2θ = 47.1°, I 34
2θ = 48.7°, I 167
2θ = 66.1°, I 103
2θ = 68.8°, I 182
2θ = 80.2°, I 242
2θ = 85.1°, I 101
2θ = 86.3°, I 111

Crystal structure
a = 2.8264 Å, b = 2.8264 Å, c = 7.4740 Å
α = 90.00°, β = 90.00°, γ = 90.00°
Fractional positions:
Cu 0.0000 0.0000 0.2501
Cu 0.0000 0.0000 0.7499
Mo 0.5000 0.5000 0.0000
Cl 0.5000 0.5000 0.5000

---

For Ti7V5Ir, a structure optimized by DFT (PBE) gives the calculated powder XRD pattern in this record (copper Kα).
Neutral-atom scattering factors, no anomalous dispersion.

Most intense lines, 15° ≤ 2θ ≤ 90°, sorted by position:
2θ = 20.1°, I 550
2θ = 28.0°, I 582
2θ = 34.0°, I 589
2θ = 35.5°, I 600
2θ = 39.9°, I 954
2θ = 40.7°, I 530
2θ = 41.2°, I 494
2θ = 41.4°, I 687
2θ = 44.2°, I 1000
2θ = 45.9°, I 866

Crystal structure
a = 6.8620 Å, b = 6.8620 Å, c = 6.8620 Å
α = 136.96°, β = 100.62°, γ = 94.87°
Fractional positions:
Ti 0.0000 0.0000 0.0000
Ti 0.0260 0.3699 0.6561
Ti 0.1592 0.8652 0.2940
Ti 0.3479 0.3479 0.0000
Ti 0.5712 0.8652 0.7060
Ti 0.5803 0.0803 0.5000
Ti 0.7138 0.3699 0.3439
V 0.1590 0.6590 0.5000
V 0.3597 0.3627 0.4884
V 0.3597 0.8713 0.9970
V 0.8743 0.3627 0.0030
V 0.8743 0.8713 0.5116
Ir 0.7223 0.7223 0.0000

---

For LaTb2PrY5, a structure optimized by DFT (PBE) gives the calculated powder XRD pattern in this record (copper Kα).
Neutral-atom scattering factors, no anomalous dispersion.

Most intense lines, 15° ≤ 2θ ≤ 90°, sorted by position:
2θ = 28.5°, I 664
2θ = 28.7°, I 474
2θ = 30.7°, I 1000
2θ = 32.2°, I 169
2θ = 34.2°, I 157
2θ = 36.8°, I 243
2θ = 37.3°, I 276
2θ = 42.8°, I 323
2θ = 46.6°, I 166
2θ = 52.1°, I 185

Crystal structure
a = 9.9717 Å, b = 9.9717 Å, c = 9.9717 Å
α = 127.67°, β = 127.67°, γ = 77.15°
Fractional positions:
La 0.2500 0.2500 0.0000
La 0.7500 0.7500 0.0000
Tb 0.1170 0.6170 0.7340
Tb 0.3830 0.1170 0.5000
Tb 0.6170 0.8830 0.5000
Tb 0.8830 0.3830 0.2660
Pr 0.2500 0.7500 0.5000
Pr 0.7500 0.2500 0.5000
Y 0.0000 0.0000 0.0000
Y 0.0705 0.1645 0.5000
Y 0.1645 0.6645 0.0940
Y 0.3355 0.4295 0.5000
Y 0.4295 0.9295 0.0940
Y 0.5000 0.5000 0.0000
Y 0.5705 0.0705 0.9060
Y 0.6645 0.5705 0.5000
Y 0.8355 0.3355 0.9060
Y 0.9295 0.8355 0.5000

---

For Si23Sb4, a structure optimized by DFT (PBE) gives the calculated powder XRD pattern in this record (copper Kα).
Neutral-atom scattering factors, no anomalous dispersion.

Most intense lines, 15° ≤ 2θ ≤ 90°, sorted by position:
2θ = 19.5°, I 226
2θ = 21.4°, I 207
2θ = 30.4°, I 259
2θ = 31.7°, I 437
2θ = 32.9°, I 1000
2θ = 35.2°, I 218
2θ = 52.3°, I 128
2θ = 54.0°, I 174
2θ = 55.6°, I 376
2θ = 67.5°, I 129

Crystal structure
a = 10.1924 Å, b = 10.1924 Å, c = 10.1924 Å
α = 90.00°, β = 90.00°, γ = 90.00°
Fractional positions:
Si 0.0000 0.1162 0.3114
Si 0.0000 0.1162 0.6886
Si 0.0000 0.2500 0.5000
Si 0.0000 0.7500 0.5000
Si 0.0000 0.8838 0.3114
Si 0.0000 0.8838 0.6886
Si 0.1162 0.3114 0.0000
Si 0.1162 0.6886 0.0000
Si 0.1829 0.1829 0.1829
Si 0.1829 0.1829 0.8171
Si 0.1829 0.8171 0.1829
Si 0.1829 0.8171 0.8171
Si 0.1886 0.3838 0.5000
Si 0.1886 0.6162 0.5000
Si 0.2500 0.5000 0.0000
Si 0.3114 0.0000 0.1162
Si 0.3114 0.0000 0.8838
Si 0.3171 0.3171 0.3171
Si 0.3171 0.3171 0.6829
Si 0.3171 0.6829 0.3171
Si 0.3171 0.6829 0.6829
Si 0.3838 0.5000 0.1886
Si 0.3838 0.5000 0.8114
Si 0.5000 0.0000 0.2500
Si 0.5000 0.0000 0.7500
Si 0.5000 0.1886 0.3838
Si 0.5000 0.1886 0.6162
Si 0.5000 0.8114 0.3838
Si 0.5000 0.8114 0.6162
Si 0.6162 0.5000 0.1886
Si 0.6162 0.5000 0.8114
Si 0.6829 0.3171 0.3171
Si 0.6829 0.3171 0.6829
Si 0.6829 0.6829 0.3171
Si 0.6829 0.6829 0.6829
Si 0.6886 0.0000 0.1162
Si 0.6886 0.0000 0.8838
Si 0.7500 0.5000 0.0000
Si 0.8114 0.3838 0.5000
Si 0.8114 0.6162 0.5000
Si 0.8171 0.1829 0.1829
Si 0.8171 0.1829 0.8171
Si 0.8171 0.8171 0.1829
Si 0.8171 0.8171 0.8171
Si 0.8838 0.3114 0.0000
Si 0.8838 0.6886 0.0000
Sb 0.0000 0.0000 0.0000
Sb 0.0000 0.5000 0.2500
Sb 0.0000 0.5000 0.7500
Sb 0.2500 0.0000 0.5000
Sb 0.5000 0.2500 0.0000
Sb 0.5000 0.5000 0.5000
Sb 0.5000 0.7500 0.0000
Sb 0.7500 0.0000 0.5000